For MnNb4N, a structure optimized by DFT (GGA-PBE) gives the calculated XRD peak list in this record (Cu Kα).
Neutral-atom scattering factors, no anomalous dispersion.

a b c (Å): 6.5344 6.5344 6.5344
angles (deg): 106.90 106.90 114.75
Element x y z (fractional)
Mn  0.3750  0.6250  0.7500
Mn  0.6250  0.3750  0.2500
Nb  0.1417  0.6932  0.4486
Nb  0.2554  0.3068  0.9486
Nb  0.3068  0.2554  0.4486
Nb  0.3068  0.8583  0.0514
Nb  0.6932  0.1417  0.9486
Nb  0.6932  0.7446  0.5514
Nb  0.7446  0.6932  0.0514
Nb  0.8583  0.3068  0.5514
N  0.1250  0.8750  0.2500
N  0.8750  0.1250  0.7500

The 10 most intense peaks (2θ from 10° to 90°), most intense first:
2θ/deg  Rel. int.
34.3  100.0
36.9  72.5
40.1  49.4
32.5  47.4
46.7  36.3
28.6  31.5
22.9  26.3
56.6  25.1
44.9  23.6
43.9  22.9